1.
Starting from DFT lattice parameters and positions (GGA-PBE), the powder XRD pattern of Tb4In2Sn was computed for a wavelength of 1.5418 Å.
No peak broadening, texture or thermal motion is included.

Peak list (6 most intense, 2θ from 10° to 90°, by intensity)
- 2θ 33.99, intensity 100.0
- 2θ 60.88, intensity 27.7
- 2θ 48.83, intensity 17.8
- 2θ 23.86, intensity 9.6
- 2θ 60.69, intensity 8.5
- 2θ 81.70, intensity 8.0

Crystal structure
```
7
Lattice="2.634 1.521 8.636 -2.634 1.521 8.636 0.000 -3.041 8.636" Properties=species:S:1:pos:R:3 pbc="T T T"
Tb 0.000 0.000 3.129
Tb 0.000 0.000 9.679
Tb 0.000 0.000 16.230
Tb 0.000 0.000 22.780
In 0.000 0.000 6.589
In 0.000 0.000 19.319
Sn 0.000 0.000 12.954
```


2.
Starting from DFT lattice parameters and positions (GGA-PBE), the powder XRD pattern of Tb7In2Sn2 was computed for a wavelength of 1.5418 Å.
No peak broadening, texture or thermal motion is included.

Peak list (6 most intense, 2θ from 10° to 90°, by intensity)
- 2θ 35.96, intensity 100.0
- 2θ 32.06, intensity 71.8
- 2θ 27.12, intensity 47.2
- 2θ 35.34, intensity 45.8
- 2θ 26.88, intensity 43.5
- 2θ 24.76, intensity 42.4

Crystal structure
```
11
Lattice="4.069 -5.583 0.000 4.069 5.583 0.000 0.000 0.000 7.683" Properties=species:S:1:pos:R:3 pbc="T T T"
Tb 0.000 0.000 0.000
Tb 2.035 2.791 2.194
Tb 2.035 2.791 5.489
Tb 2.035 -2.791 2.194
Tb 2.035 -2.791 5.489
Tb 4.069 0.000 2.069
Tb 4.069 0.000 5.614
In 1.424 0.000 3.841
In 6.715 0.000 3.841
Sn 4.069 2.322 0.000
Sn 4.069 -2.322 0.000
```